[1]
Diffraction record for Ca2CuGe3. The PXRD pattern is theoretical, not measured: it uses a crystal structure in Alexandria, relaxed with GGA-PBE and Cu Kα.
Kinematic intensities with the Lorentz-polarization factor, no thermal factor.

Structural model:
a = 4.2564 Å, b = 4.3345 Å, c = 7.1824 Å
α = 90.00°, β = 90.00°, γ = 90.00°
Positions (direct):
Ca1 0.0000 0.0000 0.0000
Ca2 0.5000 0.0000 0.4988
Cu1 0.5000 0.5000 0.1781
Ge1 0.0000 0.5000 0.3172
Ge2 0.0000 0.5000 0.6606
Ge3 0.5000 0.5000 0.8489

Main lines, low angle first (2θ from 10° to 90°):
- 2θ = 20.49°, intensity 63
- 2θ = 32.00°, intensity 100
- 2θ = 32.37°, intensity 50
- 2θ = 41.67°, intensity 32
- 2θ = 42.48°, intensity 31
- 2θ = 43.36°, intensity 55
- 2θ = 47.60°, intensity 14
- 2θ = 48.41°, intensity 24
- 2θ = 54.40°, intensity 21
- 2θ = 61.02°, intensity 20
- 2θ = 61.71°, intensity 36
- 2θ = 70.00°, intensity 9


[2]
Diffraction record for CaCu4Ge2. The PXRD pattern is theoretical, not measured: it uses a crystal structure in Alexandria, relaxed with GGA-PBE and Cu Kα.
Kinematic intensities with the Lorentz-polarization factor, no thermal factor.

Structural model:
a = 7.5139 Å, b = 7.5139 Å, c = 3.9149 Å
α = 90.00°, β = 90.00°, γ = 90.00°
Positions (direct):
Ca1 0.0000 0.0000 0.0000
Ca2 0.5000 0.5000 0.5000
Cu1 0.0866 0.3462 0.5000
Cu2 0.1538 0.5866 0.0000
Cu3 0.3462 0.0866 0.5000
Cu4 0.4134 0.8462 0.0000
Cu5 0.5866 0.1538 0.0000
Cu6 0.6538 0.9134 0.5000
Cu7 0.8462 0.4134 0.0000
Cu8 0.9134 0.6538 0.5000
Ge1 0.2187 0.7813 0.5000
Ge2 0.2813 0.2813 0.0000
Ge3 0.7187 0.7187 0.0000
Ge4 0.7813 0.2187 0.5000

Main lines, low angle first (2θ from 10° to 90°):
- 2θ = 16.69°, intensity 35
- 2θ = 23.68°, intensity 14
- 2θ = 33.74°, intensity 13
- 2θ = 35.20°, intensity 67
- 2θ = 37.86°, intensity 26
- 2θ = 41.06°, intensity 63
- 2θ = 44.61°, intensity 100
- 2θ = 46.39°, intensity 38
- 2θ = 49.57°, intensity 16
- 2θ = 50.05°, intensity 33
- 2θ = 70.62°, intensity 22
- 2θ = 84.75°, intensity 14


[3]
Diffraction record for Ca2LaCu2Ge2. The PXRD pattern is theoretical, not measured: it uses a crystal structure in Alexandria, relaxed with GGA-PBE and Cu Kα.
Kinematic intensities with the Lorentz-polarization factor, no thermal factor.

Structural model:
a = 11.6518 Å, b = 11.6518 Å, c = 11.6518 Å
α = 21.12°, β = 21.12°, γ = 21.12°
Positions (direct):
Ca1 0.1157 0.1157 0.1157
Ca2 0.8843 0.8843 0.8843
La1 0.0000 0.0000 0.0000
Cu1 0.3953 0.3953 0.3953
Cu2 0.6047 0.6047 0.6047
Ge1 0.2730 0.2730 0.2730
Ge2 0.7270 0.7270 0.7270

Main lines, low angle first (2θ from 10° to 90°):
- 2θ = 30.32°, intensity 93
- 2θ = 32.01°, intensity 100
- 2θ = 35.78°, intensity 55
- 2θ = 37.83°, intensity 20
- 2θ = 39.57°, intensity 22
- 2θ = 42.33°, intensity 100
- 2θ = 43.10°, intensity 31
- 2θ = 52.95°, intensity 19
- 2θ = 54.04°, intensity 22
- 2θ = 59.33°, intensity 39
- 2θ = 65.84°, intensity 38
- 2θ = 70.94°, intensity 18


[4]
Diffraction record for CaCu2Ge4O12. The PXRD pattern is theoretical, not measured: it uses a crystal structure in Alexandria, relaxed with GGA-PBE and Cu Kα.
Kinematic intensities with the Lorentz-polarization factor, no thermal factor.

Structural model:
a = 6.8821 Å, b = 6.8821 Å, c = 5.4512 Å
α = 104.86°, β = 104.86°, γ = 81.33°
Positions (direct):
Ca1 0.0000 0.0000 0.0000
Cu1 0.2177 0.7823 0.5000
Cu2 0.3980 0.6020 0.0000
Ge1 0.1370 0.3119 0.5810
Ge2 0.4962 0.0718 0.9486
Ge3 0.6881 0.8630 0.4190
Ge4 0.9282 0.5038 0.0514
O1 0.1150 0.6787 0.1234
O2 0.2066 0.0563 0.4364
O3 0.2862 0.5204 0.6312
O4 0.3213 0.8850 0.8766
O5 0.3441 0.3038 0.9474
O6 0.4796 0.7138 0.3688
O7 0.6652 0.0637 0.2534
O8 0.6662 0.0267 0.7448
O9 0.6962 0.6559 0.0526
O10 0.9363 0.3348 0.7466
O11 0.9437 0.7934 0.5636
O12 0.9733 0.3338 0.2552

Main lines, low angle first (2θ from 10° to 90°):
- 2θ = 13.37°, intensity 29
- 2θ = 19.32°, intensity 47
- 2θ = 19.80°, intensity 23
- 2θ = 28.55°, intensity 100
- 2θ = 29.02°, intensity 47
- 2θ = 34.36°, intensity 30
- 2θ = 34.98°, intensity 25
- 2θ = 35.45°, intensity 51
- 2θ = 40.50°, intensity 26
- 2θ = 53.57°, intensity 26
- 2θ = 60.29°, intensity 28
- 2θ = 64.23°, intensity 25